(1)
For Er2Si2O7, a GGA-PBE-relaxed structure gives the calculated X-ray powder pattern in this record (Cu Kα X-rays).

Top 10 peaks for 10 to 90 degrees two-theta, sorted by position:
d 4.941, 17.95 deg, I = 33, (0 1 1)
d 4.720, 18.80 deg, I = 43, (1 0 0)
d 4.326, 20.53 deg, I = 27, (1 1 0)
d 3.260, 27.36 deg, I = 57, (1 1 1)
d 3.112, 28.68 deg, I = 100, (1 2 -1)
d 3.023, 29.54 deg, I = 32, (0 3 1)
d 2.690, 33.30 deg, I = 32, (0 1 2)
d 2.480, 36.21 deg, I = 27, (1 3 1)
d 2.203, 40.96 deg, I = 21, (1 4 -1)
d 2.087, 43.36 deg, I = 20, (2 2 -1)

Crystal structure
abc: 4.748 10.812 5.589
angles: 90.00 96.21 90.00
Space group P2_1/c (No. 14)
One atom of each set of equivalent atoms:
Er: 0.109 0.151 0.408
Si: 0.360 0.612 0.645
O: 0.123 0.684 0.459
O: 0.203 0.550 0.867
O: 0.380 0.203 0.745
O: 0.500 0.000 0.000

***

(2)
For Zn2FeS3, a GGA-PBE-relaxed structure gives the calculated X-ray powder pattern in this record (Cu Kα X-rays).

Top 9 peaks for 10 to 90 degrees two-theta, sorted by position:
d 3.135, 28.47 deg, I = 100, (1 0 1)
d 2.715, 33.00 deg, I = 10, (1 3 0)
d 1.920, 47.36 deg, I = 61, (2 0 0)
d 1.637, 56.19 deg, I = 40, (0 3 3)
d 1.567, 58.93 deg, I = 3, (2 0 2)
d 1.357, 69.22 deg, I = 9, (2 6 0)
d 1.246, 76.47 deg, I = 15, (2 3 3)
d 1.214, 78.84 deg, I = 3, (1 3 4)
d 1.108, 88.15 deg, I = 19, (3 3 2)

Crystal structure
abc: 3.838 11.519 5.430
angles: 90.00 90.00 90.00
Space group Imm2 (No. 44)
One atom of each set of equivalent atoms:
Zn: 0.000 0.167 0.000
Fe: 0.000 0.500 0.001
S: 0.000 0.000 0.253
S: 0.000 0.335 0.247

***

(3)
For NaCe3GeS7, a GGA-PBE-relaxed structure gives the calculated X-ray powder pattern in this record (Cu Kα X-rays).

Top 10 peaks for 10 to 90 degrees two-theta, sorted by position:
d 4.454, 19.94 deg, I = 32, (2 0 0)
d 3.866, 23.00 deg, I = 33, (1 1 1)
d 3.547, 25.11 deg, I = 100, (2 0 1)
d 3.367, 26.48 deg, I = 24, (2 1 0)
d 2.571, 34.89 deg, I = 37, (2 2 0)
d 2.470, 36.37 deg, I = 38, (3 1 0)
d 2.449, 36.70 deg, I = 35, (2 0 2)
d 2.277, 39.59 deg, I = 34, (1 3 1)
d 2.211, 40.81 deg, I = 30, (2 1 2)
d 1.932, 47.05 deg, I = 26, (2 2 2)

Crystal structure
abc: 10.2850 10.2850 5.8641
angles: 90.00 90.00 120.00
Space group P6_3 (No. 173)
One atom of each set of equivalent atoms:
Na: 0.0000 0.0000 0.0000
Ce: 0.1275 0.7671 0.2297
Ge: 0.3333 0.6667 0.6467
S: 0.0916 0.8333 0.7526
S: 0.1055 0.5195 0.4906
S: 0.3333 0.6667 0.0246

***

(4)
For K2SbAuCl6, a GGA-PBE-relaxed structure gives the calculated X-ray powder pattern in this record (Cu Kα X-rays).

Top 10 peaks for 10 to 90 degrees two-theta, sorted by position:
d 5.350, 16.57 deg, I = 100, (2 0 0)
d 3.783, 23.51 deg, I = 99, (2 2 0)
d 2.675, 33.50 deg, I = 71, (4 0 0)
d 2.393, 37.59 deg, I = 53, (4 2 0)
d 2.184, 41.33 deg, I = 46, (4 2 2)
d 1.892, 48.10 deg, I = 48, (4 4 0)
d 1.783, 51.22 deg, I = 27, (6 0 0)
d 1.692, 54.21 deg, I = 21, (6 2 0)
d 1.430, 65.25 deg, I = 24, (6 4 2)
d 1.196, 80.24 deg, I = 21, (8 4 0)

Crystal structure
abc: 10.701 10.701 10.701
angles: 90.00 90.00 90.00
Space group Fm-3m (No. 225)
One atom of each set of equivalent atoms:
K: 0.250 0.250 0.250
Sb: 0.000 0.000 0.000
Au: 0.000 0.000 0.500
Cl: 0.000 0.000 0.248

***

(5)
For K3BeF5, a GGA-PBE-relaxed structure gives the calculated X-ray powder pattern in this record (Cu Kα X-rays).

Top 10 peaks for 10 to 90 degrees two-theta, sorted by position:
d 3.114, 28.67 deg, I = 13, (2 1 1)
d 3.025, 29.52 deg, I = 52, (2 0 2)
d 2.735, 32.75 deg, I = 16, (0 0 4)
d 2.568, 34.94 deg, I = 25, (2 2 0)
d 2.425, 37.07 deg, I = 100, (2 1 3)
d 2.414, 37.25 deg, I = 15, (1 1 4)
d 2.297, 39.22 deg, I = 53, (3 1 0)
d 1.872, 48.64 deg, I = 17, (2 2 4)
d 1.759, 51.99 deg, I = 12, (3 1 4)
d 1.739, 52.62 deg, I = 14, (4 1 1)

Crystal structure
abc: 7.263 7.263 10.939
angles: 90.00 90.00 90.00
Space group I4/mcm (No. 140)
One atom of each set of equivalent atoms:
K: 0.000 0.000 0.250
K: 0.182 0.318 0.000
Be: 0.000 0.500 0.250
F: 0.000 0.000 0.000
F: 0.123 0.377 0.335

***

- Number 3 is which compound?
  NaCe3GeS7

***

- What is the formula in the fifth record?
  K3BeF5